[1]
Theoretical powder diffraction line list
Compound: CeSiNi
Radiation: λ = 1.5418 Å (Cu Kα)
Structure: a DFT-relaxed cell (GGA-PBE, the Materials Project)

The 6 most intense peaks (10 to 80 degrees two-theta), low angle first:
index  Position (°2θ)  Rel. int.
1 0 0  25.24  29
1 0 1  34.39  100
1 1 0  44.47  37
2 0 1  57.39  22
1 1 2  66.65  21
2 1 1  75.37  20

Crystal structure
Lattice parameters (Å, degrees): 4.0748 4.0748 3.8712 90.00 90.00 120.00
Space group P-6m2 (No. 187)
Asymmetric unit:
Ce (0.0000, 0.0000, 0.0000)
Si (0.6667, 0.3333, 0.5000)
Ni (0.3333, 0.6667, 0.5000)

[2]
Theoretical powder diffraction line list
Compound: CeNiSn2
Radiation: λ = 1.5418 Å (Cu Kα)
Structure: a DFT-relaxed cell (GGA-PBE, the Materials Project)

The 6 most intense peaks (10 to 80 degrees two-theta), low angle first:
index  Position (°2θ)  Rel. int.
1 3 1  31.85  100
0 6 1  35.71  22
0 0 2  39.64  23
2 0 0  40.65  21
2 6 1  55.20  12
2 0 2  58.08  15

Crystal structure
Lattice parameters (Å, degrees): 4.439 18.108 4.547 90.00 90.00 90.00
Space group Cmcm (No. 63)
Asymmetric unit:
Ce (0.000, 0.110, 0.250)
Ni (0.000, 0.318, 0.250)
Sn (0.000, 0.251, 0.750)
Sn (0.000, 0.454, 0.250)

What is the formula in the second record? CeNiSn2